No. 1
CsFe2PdS4: computed X-ray diffraction stick pattern (λ = 1.5418 Å (Cu Kα)), based on a crystal structure in Alexandria, relaxed with GGA-PBE.
No peak broadening, texture or thermal motion is included.

Structure:
Cell lengths 7.0375, 7.0375, 7.0375 Å; angles 137.54, 106.88, 88.39 degrees
Positions (direct):
Cs  0.0000  0.0000  0.0000
Fe  0.3879  0.8879  0.5000
Fe  0.6121  0.1121  0.5000
Pd  0.5000  0.5000  0.0000
S  0.1722  0.1337  0.6457
S  0.4880  0.5265  0.3543
S  0.5120  0.8663  0.0385
S  0.8278  0.4735  0.9615

Top 6 peaks for 2θ from 10° to 80°, in order of falling intensity:
- 2θ = 27.05°, d 3.297, I 100.0
- 2θ = 21.19°, d 4.192, I 82.1
- 2θ = 27.67°, d 3.224, I 76.7
- 2θ = 41.36°, d 2.183, I 76.6
- 2θ = 13.73°, d 6.449, I 60.8
- 2θ = 41.47°, d 2.177, I 48.2


No. 2
CsFe2S3: computed X-ray diffraction stick pattern (λ = 1.5418 Å (Cu Kα)), based on a crystal structure in Alexandria, relaxed with GGA-PBE.
No peak broadening, texture or thermal motion is included.

Structure:
Cell lengths 7.6583, 7.6583, 5.1751 Å; angles 90.00, 90.00, 104.28 degrees
Positions (direct):
Cs  0.1781  0.8219  0.7500
Cs  0.8219  0.1781  0.2500
Fe  0.3646  0.3646  0.0000
Fe  0.3646  0.3646  0.5000
Fe  0.6354  0.6354  0.0000
Fe  0.6354  0.6354  0.5000
S  0.1398  0.3354  0.7500
S  0.3354  0.1398  0.2500
S  0.3998  0.6002  0.2500
S  0.6002  0.3998  0.7500
S  0.6646  0.8602  0.7500
S  0.8602  0.6646  0.2500

Top 6 peaks for 2θ from 10° to 80°, in order of falling intensity:
- 2θ = 24.01°, d 3.706, I 100.0
- 2θ = 29.62°, d 3.016, I 90.7
- 2θ = 20.93°, d 4.245, I 47.4
- 2θ = 34.31°, d 2.614, I 34.8
- 2θ = 52.61°, d 1.740, I 24.9
- 2θ = 11.92°, d 7.422, I 24.1